Theoretical XRD peak list
Compound: LaTiZn2N4
Radiation: Cu Kα
Structure: a GGA-PBE-relaxed structure

Peak list (6 most intense, 10° ≤ 2θ ≤ 90°, by angle)
(hkl)  2θ (°)  Rel. int.
1 0 1  20.4  19.7
2 0 0  33.3  36.9
1 1 2  33.7  100.0
2 2 0  47.8  22.1
3 1 2  59.8  36.4
2 0 4  60.5  20.6

Crystal structure
Lattice parameters (Å, degrees): 5.3789 5.3789 7.4394 90.00 90.00 90.00
Space group I-42m (No. 121)
Symmetry-distinct sites (fractional):
La (0.0000, 0.0000, 0.0000) (multiplicity 2)
Ti (0.0000, 0.0000, 0.5000) (multiplicity 2)
Zn (0.0000, 0.5000, 0.2500) (multiplicity 4)
N (0.2092, 0.2092, 0.3530) (multiplicity 8)